1.
Diffraction record for MgNi4O8. The XRD peak list is computed, not measured: it uses a structure optimized by DFT (PBE+U) and Cu Kα (weighted mean of Kα1 and Kα2).

Most intense lines, 15° ≤ 2θ ≤ 90°, most intense first:
- 19.5°, d = 4.561 Å, I 100
- 17.6°, d = 5.049 Å, I 79
- 36.9°, d = 2.436 Å, I 68
- 35.6°, d = 2.525 Å, I 68
- 37.2°, d = 2.419 Å, I 61
- 37.9°, d = 2.373 Å, I 58
- 52.0°, d = 1.760 Å, I 50
- 30.5°, d = 2.934 Å, I 48

Structure:
```
data_MgNi4O8
_chemical_formula_sum 'Mg2 Ni8 O16'
_space_group_name_H-M_alt 'C 1 m 1'
_space_group_IT_number 8
_space_group_name_Hall 'C -2y'
_cell_length_a 13.4232
_cell_length_b 2.9057
_cell_length_c 9.1250
_cell_angle_alpha 90.00
_cell_angle_beta 131.21
_cell_angle_gamma 90.00
loop_
_atom_site_label
_atom_site_fract_x
_atom_site_fract_y
_atom_site_fract_z
Mg1 0.0000 0.0000 0.0000
Ni1 0.0000 0.0000 0.3130
Ni2 0.0126 0.5000 0.6598
Ni3 0.2032 0.0000 0.0214
Ni4 0.2136 0.5000 0.3770
O1 0.0185 0.5000 0.1741
O2 0.0560 0.5000 0.9076
O3 0.1346 0.0000 0.7569
O4 0.1922 0.0000 0.4912
O5 0.2111 0.0000 0.2419
O6 0.3189 0.5000 0.0957
O7 0.3975 0.5000 0.5884
O8 0.4886 0.0000 0.4356
```

2.
Diffraction record for FeB2C6O6F8. The XRD peak list is computed, not measured: it uses a structure optimized by DFT (PBE+U) and Cu Kα (weighted mean of Kα1 and Kα2).

Most intense lines, 15° ≤ 2θ ≤ 90°, most intense first:
- 35.7°, d = 2.517 Å, I 100
- 22.9°, d = 3.884 Å, I 59
- 28.3°, d = 3.151 Å, I 43
- 37.3°, d = 2.410 Å, I 39
- 33.2°, d = 2.695 Å, I 34
- 43.6°, d = 2.077 Å, I 31
- 23.3°, d = 3.811 Å, I 31
- 27.3°, d = 3.261 Å, I 20

Structure:
```
data_FeB2C6O6F8
_chemical_formula_sum 'Fe2 B4 C12 O12 F16'
_space_group_name_H-M_alt 'I 4/m'
_space_group_IT_number 87
_space_group_name_Hall '-I 4'
_cell_length_a 7.6222
_cell_length_b 7.6222
_cell_length_c 11.2012
_cell_angle_alpha 90.00
_cell_angle_beta 90.00
_cell_angle_gamma 90.00
loop_
_atom_site_label
_atom_site_fract_x
_atom_site_fract_y
_atom_site_fract_z
Fe1 0.0000 0.0000 0.0000
B1 0.0000 0.5000 0.2500
C1 0.0000 0.0000 0.1716
C2 0.1424 0.7924 0.0000
O1 0.0000 0.0000 0.2729
O2 0.1707 0.2718 0.5000
F1 0.0758 0.3681 0.1768
```

3.
Diffraction record for LiFe4B4O12. The XRD peak list is computed, not measured: it uses a structure optimized by DFT (PBE+U) and Cu Kα (weighted mean of Kα1 and Kα2).

Most intense lines, 15° ≤ 2θ ≤ 90°, most intense first:
- 21.3°, d = 4.177 Å, I 100
- 26.1°, d = 3.418 Å, I 95
- 19.6°, d = 4.520 Å, I 89
- 35.0°, d = 2.566 Å, I 89
- 19.4°, d = 4.572 Å, I 51
- 26.2°, d = 3.404 Å, I 39
- 34.3°, d = 2.616 Å, I 33
- 34.2°, d = 2.624 Å, I 33

Structure:
```
data_LiFe4B4O12
_chemical_formula_sum 'Li2 Fe8 B8 O24'
_space_group_name_H-M_alt 'P 1'
_space_group_IT_number 1
_space_group_name_Hall 'P 1'
_cell_length_a 5.2482
_cell_length_b 9.1317
_cell_length_c 11.4910
_cell_angle_alpha 112.99
_cell_angle_beta 102.53
_cell_angle_gamma 90.87
loop_
_atom_site_label
_atom_site_fract_x
_atom_site_fract_y
_atom_site_fract_z
Li1 0.0000 0.0000 0.0000
Li2 0.2343 0.2465 0.5062
Fe1 0.0084 0.6687 0.0343
Fe2 0.2333 0.2145 0.7958
Fe3 0.2631 0.6010 0.5430
Fe4 0.4841 0.1209 0.2818
Fe5 0.5278 0.1905 0.0412
Fe6 0.7337 0.7068 0.7847
Fe7 0.7612 0.0854 0.5410
Fe8 0.9725 0.6272 0.2893
B1 0.0315 0.3408 0.0423
B2 0.2352 0.8871 0.7901
B3 0.2606 0.9231 0.5364
B4 0.4702 0.4671 0.2972
B5 0.5122 0.8413 0.0407
B6 0.7291 0.3763 0.7875
B7 0.7601 0.4152 0.5352
B8 0.9776 0.9596 0.2922
O1 0.0017 0.8801 0.8201
O2 0.0203 0.4279 0.5333
O3 0.0270 0.8020 0.2346
O4 0.1128 0.7751 0.4914
O5 0.1363 0.0643 0.5780
O6 0.1524 0.0854 0.3135
O7 0.2423 0.3201 0.9844
O8 0.2429 0.5025 0.3451
O9 0.3478 0.7487 0.7264
O10 0.3545 0.7159 0.0274
O11 0.3772 0.0358 0.8270
O12 0.4301 0.9975 0.0894
O13 0.4688 0.3525 0.7756
O14 0.5181 0.9352 0.5375
O15 0.5213 0.3081 0.2475
O16 0.6159 0.2624 0.4926
O17 0.6256 0.5465 0.5795
O18 0.6311 0.5828 0.2964
O19 0.7480 0.9938 0.3368
O20 0.7565 0.8275 0.0080
O21 0.8641 0.5281 0.8474
O22 0.8661 0.2445 0.7317
O23 0.9018 0.2146 0.0475
O24 0.9623 0.4971 0.0967
```

4.
Diffraction record for FeTe3BrO7. The XRD peak list is computed, not measured: it uses a structure optimized by DFT (PBE+U) and Cu Kα (weighted mean of Kα1 and Kα2).

Most intense lines, 15° ≤ 2θ ≤ 90°, most intense first:
- 34.1°, d = 2.630 Å, I 100
- 19.4°, d = 4.582 Å, I 100
- 32.0°, d = 2.794 Å, I 96
- 25.2°, d = 3.537 Å, I 91
- 24.4°, d = 3.651 Å, I 84
- 20.5°, d = 4.326 Å, I 64
- 31.7°, d = 2.819 Å, I 57
- 26.9°, d = 3.318 Å, I 53

Structure:
```
data_FeTe3BrO7
_chemical_formula_sum 'Fe4 Te12 Br4 O28'
_space_group_name_H-M_alt 'P 1 21/c 1'
_space_group_IT_number 14
_space_group_name_Hall '-P 2ybc'
_cell_length_a 11.2724
_cell_length_b 7.5022
_cell_length_c 11.0985
_cell_angle_alpha 90.00
_cell_angle_beta 110.03
_cell_angle_gamma 90.00
loop_
_atom_site_label
_atom_site_fract_x
_atom_site_fract_y
_atom_site_fract_z
Fe1 0.1133 0.1300 0.0878
Te1 0.0978 0.0104 0.7677
Te2 0.2330 0.0259 0.4329
Te3 0.3674 0.6015 0.5728
Br1 0.4940 0.2122 0.6216
O1 0.0395 0.0098 0.9118
O2 0.0876 0.6081 0.8332
O3 0.1301 0.2390 0.2609
O4 0.1458 0.1420 0.5294
O5 0.2636 0.5015 0.6585
O6 0.2783 0.5055 0.4053
O7 0.2778 0.6715 0.0593
```

5.
Diffraction record for CrHSe3O8. The XRD peak list is computed, not measured: it uses a structure optimized by DFT (PBE+U) and Cu Kα (weighted mean of Kα1 and Kα2).

Most intense lines, 15° ≤ 2θ ≤ 90°, most intense first:
- 23.7°, d = 3.759 Å, I 100
- 26.6°, d = 3.349 Å, I 73
- 21.5°, d = 4.129 Å, I 63
- 18.0°, d = 4.926 Å, I 40
- 26.8°, d = 3.327 Å, I 37
- 29.5°, d = 3.031 Å, I 35
- 32.0°, d = 2.801 Å, I 32
- 38.6°, d = 2.335 Å, I 32

Structure:
```
data_CrHSe3O8
_chemical_formula_sum 'Cr4 H4 Se12 O32'
_space_group_name_H-M_alt 'P 1 21/c 1'
_space_group_IT_number 14
_space_group_name_Hall '-P 2ybc'
_cell_length_a 7.5531
_cell_length_b 13.0020
_cell_length_c 10.6964
_cell_angle_alpha 90.00
_cell_angle_beta 133.07
_cell_angle_gamma 90.00
loop_
_atom_site_label
_atom_site_fract_x
_atom_site_fract_y
_atom_site_fract_z
Cr1 0.1259 0.1783 0.4441
H1 0.4301 0.1108 0.0809
Se1 0.0034 0.6373 0.4212
Se2 0.2871 0.0105 0.7222
Se3 0.3456 0.7010 0.9363
O1 0.0919 0.7067 0.7236
O2 0.1116 0.0997 0.2747
O3 0.1527 0.6028 0.1097
O4 0.1553 0.2466 0.1238
O5 0.3032 0.6882 0.5200
O6 0.3539 0.0681 0.6150
O7 0.4119 0.0384 0.1046
O8 0.4255 0.2393 0.0345
```